Structure and simulated X-ray diffraction stick pattern of BaInSn (a crystal structure in Alexandria, relaxed with PBE; Cu Kα (weighted mean of Kα1 and Kα2)).
Lines closer than 0.1° are merged.

Atomic structure:
Cell: 4.943 9.964 8.605 Å, 90.00 90.00 90.00°
Space group Imm2 (No. 44)
Asymmetric unit:
Ba1 0.000 0.000 0.000 (multiplicity 2)
Ba2 0.000 0.500 0.052 (multiplicity 2)
In1 0.000 0.315 0.704 (multiplicity 4)
Sn1 0.000 0.250 0.370 (multiplicity 4)

Largest 6 diffraction maxima, by angle, 5° ≤ 2θ ≤ 70°:
hkl 1 2 1, d = 3.251 Å, intensity 100.0
hkl 1 0 3, d = 2.481 Å, intensity 37.3
hkl 2 0 0, d = 2.471 Å, intensity 20.3
hkl 2 2 2, d = 1.969 Å, intensity 15.4
hkl 1 3 4, d = 1.697 Å, intensity 11.8
hkl 1 6 1, d = 1.549 Å, intensity 11.6